Computed powder X-ray diffraction pattern of Li2Fe3CoO8 for λ = 1.5418 Å (Cu Kα), from a crystal structure in the Materials Project, relaxed with PBE+U.
Intensities are scaled so that the largest is 1000.

Cell and atoms:
a = 8.1011 Å, b = 8.1011 Å, c = 8.1011 Å
α = 90.00°, β = 90.00°, γ = 90.00°
Fractional positions:
Li: 0.0013 0.0013 0.0013
Li: 0.2487 0.2487 0.2487
Li: 0.2513 0.7513 0.7487
Li: 0.4987 0.9987 0.5013
Li: 0.5013 0.4987 0.9987
Li: 0.7487 0.2513 0.7513
Li: 0.7513 0.7487 0.2513
Li: 0.9987 0.5013 0.4987
Fe: 0.1244 0.1256 0.6250
Fe: 0.1250 0.3756 0.8744
Fe: 0.1256 0.6250 0.1244
Fe: 0.3744 0.3750 0.6244
Fe: 0.3750 0.6244 0.3744
Fe: 0.3756 0.8744 0.1250
Fe: 0.6244 0.3744 0.3750
Fe: 0.6250 0.1244 0.1256
Fe: 0.6256 0.8750 0.8756
Fe: 0.8744 0.1250 0.3756
Fe: 0.8750 0.8756 0.6256
Fe: 0.8756 0.6256 0.8750
Co: 0.1250 0.8750 0.3750
Co: 0.3750 0.1250 0.8750
Co: 0.6250 0.6250 0.6250
Co: 0.8750 0.3750 0.1250
O: 0.1080 0.1089 0.3894
O: 0.1089 0.3894 0.1080
O: 0.1114 0.6114 0.8886
O: 0.1106 0.8920 0.6089
O: 0.1386 0.3614 0.6386
O: 0.1394 0.6411 0.3580
O: 0.1411 0.1420 0.8606
O: 0.1420 0.8606 0.1411
O: 0.3580 0.1394 0.6411
O: 0.3589 0.8580 0.3606
O: 0.3606 0.3589 0.8580
O: 0.3614 0.6386 0.1386
O: 0.3894 0.1080 0.1089
O: 0.3886 0.3886 0.3886
O: 0.3911 0.6106 0.6080
O: 0.3920 0.8911 0.8894
O: 0.6080 0.3911 0.6106
O: 0.6089 0.1106 0.8920
O: 0.6106 0.6080 0.3911
O: 0.6114 0.8886 0.1114
O: 0.6386 0.1386 0.3614
O: 0.6394 0.8589 0.6420
O: 0.6411 0.3580 0.1394
O: 0.6420 0.6394 0.8589
O: 0.8580 0.3606 0.3589
O: 0.8589 0.6420 0.6394
O: 0.8606 0.1411 0.1420
O: 0.8614 0.8614 0.8614
O: 0.8886 0.1114 0.6114
O: 0.8894 0.3920 0.8911
O: 0.8911 0.8894 0.3920
O: 0.8920 0.6089 0.1106

Peak list (10 most intense, 2θ from 10° to 80°, sorted by position)
d_spacing	Rel. int.
4.677	1000
2.443	439
2.339	120
2.025	500
1.859	92
1.559	195
1.432	293
1.369	133
1.235	46
1.221	70

=====

Computed powder X-ray diffraction pattern of Li2CrP2O7 for λ = 1.5418 Å (Cu Kα), from a crystal structure in the Materials Project, relaxed with PBE+U.
Intensities are scaled so that the largest is 1000.

Cell and atoms:
a = 6.4919 Å, b = 9.2255 Å, c = 10.8028 Å
α = 67.32°, β = 89.95°, γ = 73.64°
Fractional positions:
Li: 0.0000 0.0000 0.0000
Li: 0.0080 0.6123 0.9198
Li: 0.1270 0.6938 0.5377
Li: 0.2083 0.3454 0.5389
Li: 0.2859 0.4061 0.1547
Li: 0.5302 0.5873 0.4198
Li: 0.5696 0.0199 0.0733
Li: 0.8004 0.4359 0.6662
Cr: 0.4345 0.6070 0.8232
Cr: 0.5326 0.9922 0.7903
Cr: 0.8020 0.0184 0.3075
Cr: 0.8804 0.4053 0.2674
P: 0.0350 0.9535 0.7442
P: 0.0764 0.6945 0.2524
P: 0.2403 0.3162 0.8379
P: 0.2970 0.0584 0.3454
P: 0.4561 0.6978 0.1073
P: 0.6033 0.7937 0.5810
P: 0.7213 0.2232 0.5112
P: 0.8577 0.3138 0.9802
O: 0.0471 0.5732 0.1936
O: 0.0832 0.2198 0.9358
O: 0.1245 0.4048 0.6933
O: 0.1251 0.7729 0.7607
O: 0.1329 0.9686 0.3463
O: 0.1950 0.2402 0.3226
O: 0.2005 0.6049 0.3954
O: 0.2044 0.0355 0.7492
O: 0.2245 0.7928 0.1474
O: 0.2613 0.4393 0.8975
O: 0.4029 0.5913 0.0408
O: 0.4244 0.9700 0.4977
O: 0.4506 0.1782 0.8635
O: 0.4726 0.0438 0.2509
O: 0.5113 0.2202 0.5704
O: 0.5192 0.6557 0.5742
O: 0.5335 0.8393 0.0180
O: 0.5959 0.5901 0.2446
O: 0.6028 0.7854 0.7288
O: 0.7162 0.4245 0.8439
O: 0.7231 0.2259 0.3652
O: 0.7868 0.1655 0.0667
O: 0.8020 0.3641 0.5140
O: 0.8161 0.7936 0.5243
O: 0.8679 0.9671 0.8446
O: 0.8690 0.8332 0.2330
O: 0.9033 0.0482 0.5945
O: 0.9112 0.4164 0.0499

Peak list (10 most intense, 2θ from 10° to 80°, sorted by position)
d_spacing	Rel. int.
8.067	698
4.978	753
4.947	740
4.321	419
4.027	540
3.741	1000
3.625	447
3.069	443
2.914	518
2.682	530

=====

Computed powder X-ray diffraction pattern of TiMnP2O8 for λ = 1.5418 Å (Cu Kα), from a crystal structure in the Materials Project, relaxed with PBE+U.
Intensities are scaled so that the largest is 1000.

Cell and atoms:
a = 5.0176 Å, b = 6.0475 Å, c = 10.1063 Å
α = 90.00°, β = 90.74°, γ = 90.00°
Fractional positions:
Ti: 0.0304 0.2500 0.2208
Ti: 0.9696 0.7500 0.7792
Mn: 0.4687 0.2500 0.7279
Mn: 0.5313 0.7500 0.2721
P: 0.0534 0.7500 0.0951
P: 0.3891 0.7500 0.6067
P: 0.6109 0.2500 0.3933
P: 0.9466 0.2500 0.9049
O: 0.1422 0.7500 0.9470
O: 0.1891 0.5466 0.1672
O: 0.1891 0.9534 0.1672
O: 0.2353 0.5559 0.6773
O: 0.2353 0.9441 0.6773
O: 0.2458 0.2500 0.8978
O: 0.3144 0.2500 0.3475
O: 0.3641 0.7500 0.4588
O: 0.6359 0.2500 0.5412
O: 0.6856 0.7500 0.6525
O: 0.7542 0.7500 0.1022
O: 0.7647 0.0559 0.3227
O: 0.7647 0.4441 0.3227
O: 0.8109 0.0466 0.8328
O: 0.8109 0.4534 0.8328
O: 0.8578 0.2500 0.0530

Peak list (10 most intense, 2θ from 10° to 80°, sorted by position)
d_spacing	Rel. int.
5.053	953
4.517	593
4.471	905
3.875	520
3.619	295
3.593	757
3.024	1000
2.551	618
2.526	559
1.931	285

=====

Computed powder X-ray diffraction pattern of MgV4O5F7 for λ = 1.5418 Å (Cu Kα), from a crystal structure in the Materials Project, relaxed with PBE+U.
Intensities are scaled so that the largest is 1000.

Cell and atoms:
a = 5.3177 Å, b = 5.3178 Å, c = 8.9269 Å
α = 92.19°, β = 105.83°, γ = 117.13°
Fractional positions:
Mg: 0.0000 0.0000 0.0000
V: 0.2275 0.6131 0.8304
V: 0.2778 0.1142 0.3637
V: 0.7275 0.8239 0.6086
V: 0.7360 0.3771 0.1161
O: 0.4080 0.2179 0.1775
O: 0.4563 0.7646 0.6920
O: 0.5268 0.4201 0.4975
O: 0.9489 0.7475 0.1762
O: 0.9948 0.8000 0.8008
F: 0.0211 0.9006 0.4903
F: 0.0255 0.3924 0.9875
F: 0.4805 0.4093 0.9155
F: 0.4918 0.8987 0.4088
F: 0.5905 0.9526 0.9988
F: 0.9429 0.2475 0.6758
F: 0.9810 0.2635 0.2767

Peak list (10 most intense, 2θ from 10° to 80°, sorted by position)
d_spacing	Rel. int.
3.777	566
3.741	1000
2.773	119
2.665	129
2.654	220
2.243	160
1.889	156
1.873	114
1.868	154
1.676	106

=====

Computed powder X-ray diffraction pattern of MnOF for λ = 1.5418 Å (Cu Kα), from a crystal structure in the Materials Project, relaxed with PBE+U.
Intensities are scaled so that the largest is 1000.

Cell and atoms:
a = 3.7917 Å, b = 4.3514 Å, c = 5.5298 Å
α = 111.00°, β = 109.37°, γ = 90.92°
Fractional positions:
Mn: 0.1368 0.3829 0.2686
Mn: 0.8632 0.6171 0.7314
O: 0.3318 0.6303 0.6641
O: 0.6682 0.3697 0.3359
F: 0.0559 0.8133 0.1417
F: 0.9441 0.1867 0.8583

Peak list (10 most intense, 2θ from 10° to 80°, sorted by position)
d_spacing	Rel. int.
4.014	899
3.913	1000
3.535	687
3.520	670
2.407	462
2.174	596
1.896	390
1.783	243
1.739	192
1.641	162

=====

Computed powder X-ray diffraction pattern of Li2Fe3WO8 for λ = 1.5418 Å (Cu Kα), from a crystal structure in the Materials Project, relaxed with PBE+U.
Intensities are scaled so that the largest is 1000.

Cell and atoms:
a = 8.5604 Å, b = 8.5962 Å, c = 8.6135 Å
α = 89.87°, β = 89.72°, γ = 89.67°
Fractional positions:
Li: 0.0000 0.0000 0.0000
Li: 0.0051 0.4980 0.4953
Li: 0.2471 0.2467 0.2465
Li: 0.2572 0.7442 0.7502
Li: 0.4970 0.4982 0.9950
Li: 0.5048 0.9927 0.5002
Li: 0.7465 0.2402 0.7499
Li: 0.7524 0.7482 0.2512
Fe: 0.1196 0.8638 0.3740
Fe: 0.1312 0.6150 0.1393
Fe: 0.1372 0.3704 0.8786
Fe: 0.3737 0.6197 0.3741
Fe: 0.3747 0.3828 0.6304
Fe: 0.3821 0.1232 0.8718
Fe: 0.6150 0.6297 0.6228
Fe: 0.6248 0.8746 0.8733
Fe: 0.6329 0.1190 0.1131
Fe: 0.8647 0.8757 0.6180
Fe: 0.8765 0.1168 0.3695
Fe: 0.8838 0.3635 0.1249
W: 0.1316 0.1171 0.6238
W: 0.3771 0.8725 0.1243
W: 0.6219 0.3725 0.3699
W: 0.8766 0.6241 0.8748
O: 0.1032 0.6128 0.8762
O: 0.1134 0.1260 0.3977
O: 0.1143 0.3832 0.1084
O: 0.1154 0.8945 0.6316
O: 0.1274 0.1347 0.8524
O: 0.1337 0.3522 0.6364
O: 0.1355 0.6250 0.3587
O: 0.1499 0.8574 0.1146
O: 0.3535 0.1301 0.6155
O: 0.3662 0.3634 0.8584
O: 0.3670 0.6392 0.1272
O: 0.3736 0.8642 0.3497
O: 0.3806 0.0956 0.1265
O: 0.3871 0.6087 0.6138
O: 0.3925 0.8766 0.8913
O: 0.3973 0.3720 0.3811
O: 0.6060 0.8635 0.1051
O: 0.6146 0.0953 0.8755
O: 0.6177 0.3836 0.6039
O: 0.6255 0.6014 0.3877
O: 0.6365 0.8596 0.6430
O: 0.6384 0.1467 0.3773
O: 0.6376 0.3783 0.1461
O: 0.6461 0.6328 0.8646
O: 0.8562 0.3645 0.3647
O: 0.8640 0.8522 0.8666
O: 0.8692 0.6313 0.6453
O: 0.8722 0.1364 0.1400
O: 0.8799 0.3949 0.8835
O: 0.8818 0.8872 0.3903
O: 0.8838 0.6155 0.1022
O: 0.8956 0.1140 0.6151

Peak list (10 most intense, 2θ from 10° to 80°, sorted by position)
d_spacing	Rel. int.
6.080	250
4.964	1000
4.945	327
3.846	349
2.598	181
2.590	356
2.476	252
2.151	451
2.140	222
1.522	211